No. 1
Theoretical powder diffractogram of BiPt15 for CuKα, from a PBE-relaxed structure.
No peak broadening, texture or thermal motion is included.

Most intense lines, 10 to 90 degrees two-theta, sorted by position:
d_spacing  2theta  I_rel
2.381  37.8  31
2.302  39.1  100
2.260  39.9  61
2.061  43.9  20
1.981  45.8  41
1.966  46.2  31
1.422  65.7  20
1.396  67.1  27
1.203  79.7  17
1.184  81.2  22

Atomic structure:
```
BiPt15
1.0
2.8419 0.0000 0.0000
0.0000 3.9332 0.0000
0.0000 0.0000 35.9026
Bi Pt
1 15
Direct
0.0000 0.0000 0.0000 Bi
0.0000 0.0000 0.4447 Pt
0.0000 0.0000 0.5251 Pt
0.0000 0.0000 0.6028 Pt
0.0000 0.0000 0.6804 Pt
0.0000 0.0000 0.7579 Pt
0.0000 0.0000 0.8359 Pt
0.0000 0.0000 0.9143 Pt
0.5000 0.5000 0.4118 Pt
0.5000 0.5000 0.4871 Pt
0.5000 0.5000 0.5639 Pt
0.5000 0.5000 0.6414 Pt
0.5000 0.5000 0.7192 Pt
0.5000 0.5000 0.7967 Pt
0.5000 0.5000 0.8751 Pt
0.5000 0.5000 0.9560 Pt
```

No. 2
Theoretical powder diffractogram of Bi2Pt for CuKα, from a PBE-relaxed structure.
No peak broadening, texture or thermal motion is included.

Most intense lines, 10 to 90 degrees two-theta, sorted by position:
d_spacing  2theta  I_rel
5.574  15.9  13
3.023  29.6  100
2.203  41.0  39
2.077  43.6  39
1.712  53.5  19
1.651  55.7  16
1.511  61.3  12
1.321  71.4  17
1.222  78.2  11
1.157  83.6  12

Atomic structure:
```
Bi2Pt
1.0
5.5737 0.0000 0.0000
-0.0056 7.1921 0.0000
-0.0006 -3.5926 6.2333
Bi Pt
6 3
Direct
0.2435 0.0105 0.1722 Bi
0.2434 0.3278 0.8383 Bi
0.2435 0.6617 0.4895 Bi
0.7565 0.3383 0.5105 Bi
0.7566 0.6722 0.1617 Bi
0.7565 0.9895 0.8278 Bi
0.4818 0.6666 0.8333 Pt
0.5000 0.0000 0.5000 Pt
0.5182 0.3334 0.1667 Pt
```

No. 3
Theoretical powder diffractogram of BiPt19 for CuKα, from a PBE-relaxed structure.
No peak broadening, texture or thermal motion is included.

Most intense lines, 10 to 90 degrees two-theta, sorted by position:
d_spacing  2theta  I_rel
2.388  37.7  24
2.289  39.4  100
2.283  39.5  70
2.047  44.2  15
1.980  45.8  79
1.400  66.8  31
1.195  80.3  28
1.194  80.4  13
1.193  80.6  16
1.145  84.7  12

Atomic structure:
```
BiPt19
1.0
5.6121 0.0000 0.0000
0.0000 3.9607 0.0000
-0.0068 0.0000 41.9085
Bi Pt
2 38
Direct
0.1251 0.2500 0.3262 Bi
0.8749 0.7500 0.6738 Bi
0.1225 0.2500 0.7818 Pt
0.1225 0.2500 0.7124 Pt
0.1241 0.2500 0.8493 Pt
0.1252 0.2500 0.0500 Pt
0.1250 0.2500 0.1169 Pt
0.1250 0.2500 0.1844 Pt
0.1250 0.2500 0.2530 Pt
0.1251 0.2500 0.9164 Pt
0.1252 0.2500 0.9832 Pt
0.3725 0.7500 0.2181 Pt
0.3725 0.7500 0.2876 Pt
0.3742 0.7500 0.1507 Pt
0.3753 0.7500 0.0167 Pt
0.3752 0.7500 0.0836 Pt
0.3752 0.7500 0.6844 Pt
0.3751 0.7500 0.7497 Pt
0.3749 0.7500 0.8158 Pt
0.3749 0.7500 0.8826 Pt
0.3750 0.7500 0.9497 Pt
0.6250 0.2500 0.0503 Pt
0.6251 0.2500 0.1174 Pt
0.6251 0.2500 0.1842 Pt
0.6249 0.2500 0.2503 Pt
0.6248 0.2500 0.3156 Pt
0.6248 0.2500 0.9164 Pt
0.6247 0.2500 0.9833 Pt
0.6258 0.2500 0.8493 Pt
0.6275 0.2500 0.7124 Pt
0.6275 0.2500 0.7819 Pt
0.8748 0.7500 0.0168 Pt
0.8749 0.7500 0.0836 Pt
0.8750 0.7500 0.7470 Pt
0.8750 0.7500 0.8156 Pt
0.8750 0.7500 0.8831 Pt
0.8748 0.7500 0.9500 Pt
0.8759 0.7500 0.1507 Pt
0.8775 0.7500 0.2876 Pt
0.8775 0.7500 0.2182 Pt
```

No. 4
Theoretical powder diffractogram of BiPt15 for CuKα, from a PBE-relaxed structure.
No peak broadening, texture or thermal motion is included.

Most intense lines, 10 to 90 degrees two-theta, sorted by position:
d_spacing  2theta  I_rel
2.317  38.9  100
2.251  40.1  48
1.981  45.8  48
1.972  46.0  17
1.401  66.8  16
1.398  67.0  19
1.204  79.6  12
1.199  80.0  13
1.199  80.0  13
1.189  80.8  13

Atomic structure:
```
BiPt15
1.0
3.9629 0.0000 0.0000
0.0000 3.9630 0.0000
0.0000 0.0000 45.3379
Bi Pt
2 30
Direct
0.2500 0.0000 0.1584 Bi
0.7500 0.0000 0.8416 Bi
0.2500 0.0000 0.2585 Pt
0.2500 0.0000 0.3460 Pt
0.2500 0.0000 0.4338 Pt
0.2500 0.0000 0.5220 Pt
0.2500 0.0000 0.6103 Pt
0.2500 0.0000 0.6977 Pt
0.2500 0.0000 0.7857 Pt
0.2500 0.5000 0.2143 Pt
0.2500 0.5000 0.3023 Pt
0.2500 0.5000 0.3898 Pt
0.2500 0.5000 0.4779 Pt
0.2500 0.5000 0.5663 Pt
0.2500 0.5000 0.6539 Pt
0.2500 0.5000 0.7418 Pt
0.2500 0.5000 0.8286 Pt
0.7500 0.0000 0.2143 Pt
0.7500 0.0000 0.3023 Pt
0.7500 0.0000 0.3897 Pt
0.7500 0.0000 0.4780 Pt
0.7500 0.0000 0.5662 Pt
0.7500 0.0000 0.6540 Pt
0.7500 0.0000 0.7415 Pt
0.7500 0.5000 0.1714 Pt
0.7500 0.5000 0.2582 Pt
0.7500 0.5000 0.3461 Pt
0.7500 0.5000 0.4337 Pt
0.7500 0.5000 0.5221 Pt
0.7500 0.5000 0.6102 Pt
0.7500 0.5000 0.6977 Pt
0.7500 0.5000 0.7857 Pt
```

No. 5
Theoretical powder diffractogram of BiPt8 for CuKα, from a PBE-relaxed structure.
No peak broadening, texture or thermal motion is included.

Most intense lines, 10 to 90 degrees two-theta, sorted by position:
d_spacing  2theta  I_rel
2.488  36.1  26
2.347  38.3  100
2.290  39.3  83
2.247  40.1  63
2.216  40.7  46
2.085  43.4  26
1.983  45.8  33
1.967  46.2  26
1.961  46.3  29
1.394  67.1  26

Atomic structure:
```
BiPt8
1.0
4.3757 -1.9826 0.0000
4.3757 1.9826 0.0000
-0.0650 0.0000 30.8576
Bi Pt
2 16
Direct
0.0546 0.0546 0.2543 Bi
0.9454 0.9454 0.7457 Bi
0.0507 0.0507 0.9564 Pt
0.1495 0.1495 0.1601 Pt
0.1506 0.1506 0.8687 Pt
0.2480 0.2480 0.0726 Pt
0.2501 0.2501 0.7802 Pt
0.3501 0.3501 0.9856 Pt
0.4468 0.4468 0.1919 Pt
0.4520 0.4520 0.8981 Pt
0.5480 0.5480 0.1019 Pt
0.5532 0.5532 0.8081 Pt
0.6499 0.6499 0.0144 Pt
0.7499 0.7499 0.2198 Pt
0.7520 0.7520 0.9274 Pt
0.8494 0.8494 0.1313 Pt
0.8505 0.8505 0.8399 Pt
0.9493 0.9493 0.0436 Pt
```

No. 6
Theoretical powder diffractogram of BiPt6 for CuKα, from a PBE-relaxed structure.
No peak broadening, texture or thermal motion is included.

Most intense lines, 10 to 90 degrees two-theta, sorted by position:
d_spacing  2theta  I_rel
8.574  10.3  46
2.399  37.5  100
2.302  39.1  57
2.256  40.0  92
2.239  40.3  65
2.056  44.0  35
2.015  45.0  26
1.971  46.1  32
1.965  46.2  27
1.951  46.6  26

Atomic structure:
```
BiPt6
1.0
4.3672 -1.9707 0.0000
4.3672 1.9707 0.0000
-0.1688 0.0000 25.7210
Bi Pt
2 12
Direct
0.0467 0.0467 0.2635 Bi
0.9533 0.9533 0.7365 Bi
0.0477 0.0477 0.6228 Pt
0.1485 0.1485 0.5173 Pt
0.2524 0.2524 0.4120 Pt
0.3447 0.3447 0.6615 Pt
0.3517 0.3517 0.3054 Pt
0.4472 0.4472 0.5529 Pt
0.5528 0.5528 0.4471 Pt
0.6483 0.6483 0.6946 Pt
0.6553 0.6553 0.3385 Pt
0.7476 0.7476 0.5880 Pt
0.8515 0.8515 0.4827 Pt
0.9523 0.9523 0.3772 Pt
```

No. 7
Theoretical powder diffractogram of BiPt19 for CuKα, from a PBE-relaxed structure.
No peak broadening, texture or thermal motion is included.

Most intense lines, 10 to 90 degrees two-theta, sorted by position:
d_spacing  2theta  I_rel
2.375  37.9  23
2.302  39.1  100
2.270  39.7  70
2.054  44.1  15
1.985  45.7  46
1.969  46.1  32
1.398  66.9  30
1.219  78.5  14
1.204  79.7  19
1.189  80.8  16

Atomic structure:
```
BiPt19
1.0
2.8389 0.0000 0.0000
0.0000 3.9393 0.0000
0.0000 0.0000 41.6678
Bi Pt
1 19
Direct
0.0000 0.0000 0.0000 Bi
0.0000 0.0000 0.3870 Pt
0.0000 0.0000 0.4564 Pt
0.0000 0.0000 0.5236 Pt
0.0000 0.0000 0.5905 Pt
0.0000 0.0000 0.6572 Pt
0.0000 0.0000 0.7241 Pt
0.0000 0.0000 0.7910 Pt
0.0000 0.0000 0.8584 Pt
0.0000 0.0000 0.9260 Pt
0.5000 0.5000 0.3583 Pt
0.5000 0.5000 0.4234 Pt
0.5000 0.5000 0.4899 Pt
0.5000 0.5000 0.5569 Pt
0.5000 0.5000 0.6239 Pt
0.5000 0.5000 0.6907 Pt
0.5000 0.5000 0.7575 Pt
0.5000 0.5000 0.8245 Pt
0.5000 0.5000 0.8922 Pt
0.5000 0.5000 0.9620 Pt
```

No. 8
Theoretical powder diffractogram of BiPt10 for CuKα, from a PBE-relaxed structure.
No peak broadening, texture or thermal motion is included.

Most intense lines, 10 to 90 degrees two-theta, sorted by position:
d_spacing  2theta  I_rel
2.377  37.9  94
2.324  38.7  100
2.307  39.0  25
2.171  41.6  29
2.010  45.1  88
1.945  46.7  21
1.449  64.3  43
1.395  67.1  26
1.227  77.8  20
1.205  79.5  27

Atomic structure:
```
BiPt10
1.0
2.8987 0.0000 0.0000
-1.4494 2.5104 0.0000
0.0000 0.0000 36.9111
Bi Pt
1 10
Direct
0.0000 0.0000 0.0000 Bi
0.0000 0.0000 0.1869 Pt
0.0000 0.0000 0.3660 Pt
0.0000 0.0000 0.5453 Pt
0.3333 0.6667 0.1269 Pt
0.3333 0.6667 0.3061 Pt
0.3333 0.6667 0.4857 Pt
0.6667 0.3333 0.0652 Pt
0.6667 0.3333 0.2464 Pt
0.6667 0.3333 0.4260 Pt
0.6667 0.3333 0.6058 Pt
```

No. 9
Theoretical powder diffractogram of Bi2Pt for CuKα, from a PBE-relaxed structure.
No peak broadening, texture or thermal motion is included.

Most intense lines, 10 to 90 degrees two-theta, sorted by position:
d_spacing  2theta  I_rel
3.064  29.1  81
3.031  29.5  100
2.982  30.0  89
2.797  32.0  57
2.786  32.1  46
2.363  38.1  44
2.146  42.1  64
2.058  44.0  72
2.045  44.3  50
1.887  48.2  36

Atomic structure:
```
Bi2Pt
1.0
6.8244 0.0000 0.0000
0.0000 6.8800 0.0000
0.0000 0.0000 13.5344
Bi Pt
16 8
Direct
0.1283 0.0381 0.1855 Bi
0.1283 0.4619 0.6855 Bi
0.1396 0.6943 0.9356 Bi
0.1396 0.8057 0.4356 Bi
0.3604 0.1943 0.9356 Bi
0.3604 0.3057 0.4356 Bi
0.3717 0.5381 0.1855 Bi
0.3717 0.9619 0.6855 Bi
0.6283 0.0381 0.3145 Bi
0.6283 0.4619 0.8145 Bi
0.6396 0.6943 0.5644 Bi
0.6396 0.8057 0.0644 Bi
0.8604 0.1943 0.5644 Bi
0.8604 0.3057 0.0644 Bi
0.8717 0.5381 0.3145 Bi
0.8717 0.9619 0.8145 Bi
0.0023 0.6665 0.1295 Pt
0.0023 0.8335 0.6295 Pt
0.4977 0.1665 0.1295 Pt
0.4977 0.3335 0.6295 Pt
0.5023 0.6665 0.3705 Pt
0.5023 0.8335 0.8705 Pt
0.9977 0.1665 0.3705 Pt
0.9977 0.3335 0.8705 Pt
```

No. 10
Theoretical powder diffractogram of BiPt7 for CuKα, from a PBE-relaxed structure.
No peak broadening, texture or thermal motion is included.

Most intense lines, 10 to 90 degrees two-theta, sorted by position:
d_spacing  2theta  I_rel
2.352  38.3  100
2.328  38.7  45
2.210  40.8  46
2.096  43.2  30
2.009  45.1  35
1.907  47.7  19
1.410  66.3  23
1.383  67.8  21
1.238  77.0  15
1.210  79.2  15

Atomic structure:
```
BiPt7
1.0
2.9899 0.0000 0.0000
0.0000 3.8138 0.0000
0.0000 0.0000 35.2623
Bi Pt
2 14
Direct
0.2500 0.2500 0.1978 Bi
0.7500 0.7500 0.8022 Bi
0.2500 0.2500 0.2840 Pt
0.2500 0.2500 0.3629 Pt
0.2500 0.2500 0.4415 Pt
0.2500 0.2500 0.5195 Pt
0.2500 0.2500 0.5977 Pt
0.2500 0.2500 0.6765 Pt
0.2500 0.2500 0.7581 Pt
0.7500 0.7500 0.2419 Pt
0.7500 0.7500 0.3235 Pt
0.7500 0.7500 0.4023 Pt
0.7500 0.7500 0.4805 Pt
0.7500 0.7500 0.5585 Pt
0.7500 0.7500 0.6371 Pt
0.7500 0.7500 0.7160 Pt
```

No. 11
Theoretical powder diffractogram of Sc2BiSbPt2 for CuKα, from a PBE-relaxed structure.
No peak broadening, texture or thermal motion is included.

Most intense lines, 10 to 90 degrees two-theta, sorted by position:
d_spacing  2theta  I_rel
3.727  23.9  77
2.282  39.5  100
1.946  46.7  40
1.614  57.1  17
1.481  62.7  17
1.318  71.6  29
1.317  71.7  6
1.242  76.7  9
1.141  85.0  9
1.091  89.9  10

Atomic structure:
```
Sc2BiSbPt2
1.0
11.1800 0.0000 0.0000
0.0000 4.5616 0.0000
-3.7313 0.0000 10.5490
Sc Bi Sb Pt
8 4 4 8
Direct
0.0000 0.0000 0.0000 Sc
0.1217 0.5000 0.3747 Sc
0.2458 0.0000 0.7472 Sc
0.3753 0.5000 0.1292 Sc
0.4996 0.0000 0.5004 Sc
0.6247 0.5000 0.8721 Sc
0.7486 0.0000 0.2529 Sc
0.8721 0.5000 0.6236 Sc
0.1225 0.5000 0.8752 Bi
0.3734 0.5000 0.6234 Bi
0.4995 0.0000 0.0018 Bi
0.8739 0.5000 0.1258 Bi
0.2493 0.0000 0.2508 Sb
0.6236 0.5000 0.3757 Sb
0.7483 0.0000 0.7483 Sb
0.9971 0.0000 0.4991 Sb
0.1299 0.5000 0.1312 Pt
0.2418 0.0000 0.4938 Pt
0.3730 0.5000 0.8745 Pt
0.4996 0.0000 0.2572 Pt
0.6284 0.5000 0.6241 Pt
0.7495 0.0000 0.9934 Pt
0.8721 0.5000 0.3797 Pt
0.9926 0.0000 0.7439 Pt
```